LiBi3PbWClO8: simulated X-ray powder pattern (Cu Kα), based on a PBE+U-relaxed structure.

Structure:
```
data_LiBi3PbWClO8
_chemical_formula_sum 'Li1 Bi3 Pb1 W1 Cl1 O8'
_space_group_name_H-M_alt 'P 4 m m'
_space_group_IT_number 99
_cell_length_a 3.9305
_cell_length_b 3.9305
_cell_length_c 15.3787
_cell_angle_alpha 90.00
_cell_angle_beta 90.00
_cell_angle_gamma 90.00
loop_
_space_group_symop_operation_xyz
'x,y,z'
'-y,x,z'
'-x,-y,z'
'y,-x,z'
'-x,y,z'
'y,x,z'
'x,-y,z'
'-y,-x,z'
loop_
_atom_site_label
_atom_site_fract_x
_atom_site_fract_y
_atom_site_fract_z
Li1 0.0000 0.0000 0.0000
Bi1 0.0000 0.0000 0.1588
Bi2 0.0000 0.0000 0.4059
Bi3 0.5000 0.5000 0.9592
Pb1 0.5000 0.5000 0.5720
W1 0.0000 0.0000 0.7580
Cl1 0.5000 0.5000 0.2399
O1 0.0000 0.0000 0.6371
O2 0.0000 0.0000 0.8886
O3 0.0000 0.5000 0.0453
O4 0.0000 0.5000 0.4716
O5 0.0000 0.5000 0.7636
```

Most intense lines, 2θ = 10–80°, low angle first:
(1 0 2), 25.45°, rel. 42
(1 0 3), 28.62°, rel. 100
(0 0 5), 29.03°, rel. 22
(1 1 0), 32.21°, rel. 53
(1 1 5), 43.91°, rel. 34
(2 0 0), 46.19°, rel. 28
(1 0 8), 53.03°, rel. 23
(2 1 3), 55.24°, rel. 33
(2 0 5), 55.49°, rel. 16
(2 1 8), 72.92°, rel. 18